1.
# Er3Sn3Ru2
Calculated PXRD pattern, Cu Kα (λ = 1.5418 Å). Input: a DFT-relaxed cell (GGA-PBE, Alexandria).

Atomic structure:
```
data_Er3Sn3Ru2
_chemical_formula_sum 'Er12 Sn12 Ru8'
_symmetry_space_group_name_H-M 'P n m a'
_symmetry_Int_Tables_number 62
_symmetry_space_group_name_Hall '-P 2ac 2n'
_cell_length_a 8.317
_cell_length_b 15.139
_cell_length_c 5.830
_cell_angle_alpha 90.00
_cell_angle_beta 90.00
_cell_angle_gamma 90.00
loop_
_atom_site_label
_atom_site_fract_x
_atom_site_fract_y
_atom_site_fract_z
_atom_site_occupancy
Er1 0.034 0.112 0.100 1
Er2 0.175 0.250 0.633 1
Sn1 0.174 0.750 0.634 1
Sn2 0.181 0.034 0.598 1
Ru1 0.100 0.613 0.356 1
```

Peak list (12 most intense, 2θ from 10° to 90°, sorted by position)
- (1 4 1), 30.13 deg, rel. 48
- (2 4 0), 31.98 deg, rel. 93
- (1 0 2), 32.55 deg, rel. 39
- (1 1 2), 33.10 deg, rel. 53
- (1 5 1), 35.10 deg, rel. 21
- (2 4 1), 35.58 deg, rel. 100
- (3 0 1), 35.87 deg, rel. 72
- (1 3 2), 37.23 deg, rel. 62
- (1 4 2), 40.54 deg, rel. 49
- (4 0 1), 46.37 deg, rel. 30
- (0 8 0), 48.08 deg, rel. 21
- (5 4 1), 63.13 deg, rel. 26

***

2.
# NaLiIn2Te4
Calculated PXRD pattern, Cu Kα (λ = 1.5418 Å). Input: a DFT-relaxed cell (GGA-PBE, Alexandria).

Atomic structure:
```
data_NaLiIn2Te4
_chemical_formula_sum 'Na2 Li2 In4 Te8'
_symmetry_space_group_name_H-M 'I -4 2 m'
_symmetry_Int_Tables_number 121
_symmetry_space_group_name_Hall 'I -4 2'
_cell_length_a 7.868
_cell_length_b 7.868
_cell_length_c 8.999
_cell_angle_alpha 90.00
_cell_angle_beta 90.00
_cell_angle_gamma 90.00
loop_
_atom_site_label
_atom_site_fract_x
_atom_site_fract_y
_atom_site_fract_z
_atom_site_occupancy
Na1 0.000 0.000 0.000 1
Li1 0.000 0.000 0.500 1
In1 0.000 0.500 0.250 1
Te1 0.183 0.183 0.712 1
```

Peak list (12 most intense, 2θ from 10° to 90°, sorted by position)
- (0 0 2), 19.73 deg, rel. 100
- (1 1 2), 25.46 deg, rel. 37
- (2 1 1), 27.21 deg, rel. 97
- (2 2 0), 32.18 deg, rel. 33
- (3 1 0), 36.10 deg, rel. 33
- (2 2 2), 38.03 deg, rel. 31
- (2 1 3), 39.47 deg, rel. 23
- (3 1 2), 41.47 deg, rel. 54
- (1 1 4), 43.38 deg, rel. 17
- (4 1 1), 48.78 deg, rel. 33
- (2 2 4), 52.30 deg, rel. 14
- (5 3 2), 73.23 deg, rel. 20

***

3.
# La5PrCoHg2
Calculated PXRD pattern, Cu Kα (λ = 1.5418 Å). Input: a DFT-relaxed cell (GGA-PBE, Alexandria).

Atomic structure:
```
data_La5PrCoHg2
_chemical_formula_sum 'La20 Pr4 Co4 Hg8'
_symmetry_space_group_name_H-M 'C m c 21'
_symmetry_Int_Tables_number 36
_symmetry_space_group_name_Hall 'C 2c -2'
_cell_length_a 3.834
_cell_length_b 20.628
_cell_length_c 13.967
_cell_angle_alpha 90.00
_cell_angle_beta 90.00
_cell_angle_gamma 90.00
loop_
_atom_site_label
_atom_site_fract_x
_atom_site_fract_y
_atom_site_fract_z
_atom_site_occupancy
La1 0.000 0.006 0.000 1
La2 0.000 0.137 0.363 1
La3 0.000 0.227 0.719 1
La4 0.000 0.228 0.012 1
La5 0.000 0.386 0.368 1
Pr1 0.000 0.007 0.727 1
Co1 0.000 0.262 0.365 1
Hg1 0.000 0.386 0.087 1
Hg2 0.000 0.386 0.642 1
```

Peak list (12 most intense, 2θ from 10° to 90°, sorted by position)
- (1 3 0), 26.65 deg, rel. 30
- (1 1 3), 30.51 deg, rel. 94
- (0 4 4), 30.93 deg, rel. 100
- (1 5 0), 31.86 deg, rel. 75
- (1 5 2), 34.42 deg, rel. 24
- (0 8 0), 34.79 deg, rel. 40
- (1 1 4), 35.03 deg, rel. 48
- (1 7 3), 43.33 deg, rel. 20
- (2 0 0), 47.42 deg, rel. 28
- (1 9 4), 53.46 deg, rel. 62
- (2 4 4), 57.69 deg, rel. 35
- (1 13 0), 63.45 deg, rel. 17